[1]
The following is a simulated X-ray powder pattern of KLa2AgO5. It was derived from the GGA-PBE geometry in Alexandria, using Cu Kα.

Principal peaks in the range 2θ = 10–90°, low angle first:
2θ 14.69, d = 6.030 Å, I 19
2θ 18.03, d = 4.921 Å, I 22
2θ 29.64, d = 3.014 Å, I 100
2θ 32.37, d = 2.765 Å, I 42
2θ 41.71, d = 2.165 Å, I 33
2θ 43.79, d = 2.067 Å, I 20

Structural model:
a b c (Å): 6.9587 6.9587 6.0301
angles (deg): 90.00 90.00 90.00
Space group P4/mbm (No. 127)
Symmetry-distinct sites (fractional):
1 K 0.0000 0.0000 0.0000 (multiplicity 2)
2 La 0.1809 0.3191 0.5000 (multiplicity 4)
3 Ag 0.0000 0.5000 0.0000 (multiplicity 2)
4 O 0.0000 0.0000 0.5000 (multiplicity 2)
5 O 0.1352 0.6352 0.2518 (multiplicity 8)


[2]
The following is a simulated X-ray powder pattern of Ta3Bi2S6. It was derived from the GGA-PBE geometry in Alexandria, using Cu Kα.

Principal peaks in the range 2θ = 10–90°, low angle first:
2θ 20.21, d = 4.394 Å, I 100
2θ 20.46, d = 4.340 Å, I 41
2θ 31.46, d = 2.844 Å, I 66
2θ 32.70, d = 2.739 Å, I 98
2θ 34.69, d = 2.586 Å, I 51
2θ 44.08, d = 2.054 Å, I 93

Structural model:
a b c (Å): 5.7641 5.7641 17.5758
angles (deg): 90.00 90.00 120.00
Space group P6_3/mcm (No. 193)
Symmetry-distinct sites (fractional):
1 Ta 0.0000 0.3266 0.2500 (multiplicity 6)
2 Bi 0.3333 0.6667 0.0000 (multiplicity 4)
3 S 0.0000 0.0000 0.1589 (multiplicity 4)
4 S 0.3333 0.6667 0.1620 (multiplicity 8)


[3]
The following is a simulated X-ray powder pattern of Dy14TmTh. It was derived from the GGA-PBE geometry in Alexandria, using Cu Kα.

Principal peaks in the range 2θ = 10–90°, low angle first:
2θ 30.93, d = 2.891 Å, I 100
2θ 35.87, d = 2.504 Å, I 51
2θ 51.63, d = 1.770 Å, I 36
2θ 61.41, d = 1.510 Å, I 43
2θ 84.30, d = 1.149 Å, I 18
2θ 87.02, d = 1.120 Å, I 17

Structural model:
a b c (Å): 7.0832 7.0832 10.0105
angles (deg): 90.00 90.00 90.00
Space group P4/mmm (No. 123)
Symmetry-distinct sites (fractional):
1 Dy 0.0000 0.0000 0.0000 (multiplicity 1)
2 Dy 0.0000 0.5000 0.0000 (multiplicity 2)
3 Dy 0.0000 0.5000 0.5000 (multiplicity 2)
4 Dy 0.2484 0.2484 0.2517 (multiplicity 8)
5 Dy 0.5000 0.5000 0.0000 (multiplicity 1)
6 Tm 0.5000 0.5000 0.5000 (multiplicity 1)
7 Th 0.0000 0.0000 0.5000 (multiplicity 1)